[1]
Simulated X-ray powder pattern
Compound: Te3MoWSe
Radiation: Cu Kα X-rays
Structure: a structure optimized by DFT (PBE)
Peak positions follow from Bragg's law for the DFT cell and can differ from measured ones.

Principal peaks in the range 10° ≤ 2θ ≤ 90°, in order of rising 2θ:
d 7.928, 2θ 11.2, intensity 97
d 3.027, 2θ 29.5, intensity 54
d 2.829, 2θ 31.6, intensity 15
d 2.584, 2θ 34.7, intensity 100
d 2.149, 2θ 42.0, intensity 65
d 2.068, 2θ 43.8, intensity 20
d 1.748, 2θ 52.3, intensity 40
d 1.448, 2θ 64.3, intensity 17
d 1.283, 2θ 73.9, intensity 19
d 1.115, 2θ 87.5, intensity 15

Crystal structure
```
data_Te3MoWSe
_chemical_formula_sum 'Te6 Mo2 W2 Se2'
_symmetry_space_group_name_H-M 'P 3 m 1'
_symmetry_Int_Tables_number 156
_cell_length_a 3.4970
_cell_length_b 3.4970
_cell_length_c 39.6407
_cell_angle_alpha 90.00
_cell_angle_beta 90.00
_cell_angle_gamma 120.00
loop_
_symmetry_equiv_pos_as_xyz
'x,y,z'
'-y,x-y,z'
'-x+y,-x,z'
'-y,-x,z'
'-x+y,y,z'
'x,x-y,z'
loop_
_atom_site_label
_atom_site_fract_x
_atom_site_fract_y
_atom_site_fract_z
_atom_site_occupancy
Te1 0.0000 0.0000 0.0000 1
Te2 0.0000 0.0000 0.0925 1
Te3 0.0000 0.0000 0.6243 1
Te4 0.0000 0.0000 0.7168 1
Te5 0.6667 0.3333 0.8118 1
Te6 0.6667 0.3333 0.9049 1
Mo1 0.6667 0.3333 0.0463 1
Mo2 0.6667 0.3333 0.6705 1
W1 0.0000 0.0000 0.2341 1
W2 0.0000 0.0000 0.8584 1
Se1 0.6667 0.3333 0.1932 1
Se2 0.6667 0.3333 0.2750 1
```

[2]
Simulated X-ray powder pattern
Compound: Te4MoW3Se4
Radiation: Cu Kα X-rays
Structure: a structure optimized by DFT (PBE)
Peak positions follow from Bragg's law for the DFT cell and can differ from measured ones.

Principal peaks in the range 10° ≤ 2θ ≤ 90°, in order of rising 2θ:
d 7.832, 2θ 11.3, intensity 100
d 6.526, 2θ 13.6, intensity 14
d 2.976, 2θ 30.0, intensity 45
d 2.783, 2θ 32.2, intensity 14
d 2.544, 2θ 35.3, intensity 89
d 2.117, 2θ 42.7, intensity 55
d 2.039, 2θ 44.4, intensity 17
d 1.719, 2θ 53.3, intensity 32
d 1.424, 2θ 65.5, intensity 15
d 1.264, 2θ 75.2, intensity 15

Crystal structure
```
data_Te4MoW3Se4
_chemical_formula_sum 'Te4 Mo1 W3 Se4'
_symmetry_space_group_name_H-M 'P 3 m 1'
_symmetry_Int_Tables_number 156
_cell_length_a 3.4379
_cell_length_b 3.4379
_cell_length_c 39.1576
_cell_angle_alpha 90.00
_cell_angle_beta 90.00
_cell_angle_gamma 120.00
loop_
_symmetry_equiv_pos_as_xyz
'x,y,z'
'-y,x-y,z'
'-x+y,-x,z'
'-y,-x,z'
'-x+y,y,z'
'x,x-y,z'
loop_
_atom_site_label
_atom_site_fract_x
_atom_site_fract_y
_atom_site_fract_z
_atom_site_occupancy
Te1 0.0000 0.0000 0.0000 1
Te2 0.0000 0.0000 0.0947 1
Te3 0.0000 0.0000 0.3754 1
Te4 0.0000 0.0000 0.4708 1
Mo1 0.3333 0.6667 0.0473 1
W1 0.0000 0.0000 0.2352 1
W2 0.0000 0.0000 0.8595 1
W3 0.3333 0.6667 0.4231 1
Se1 0.3333 0.6667 0.1932 1
Se2 0.3333 0.6667 0.2772 1
Se3 0.3333 0.6667 0.8175 1
Se4 0.3333 0.6667 0.9014 1
```

[3]
Simulated X-ray powder pattern
Compound: Te3MoWSe
Radiation: Cu Kα X-rays
Structure: a structure optimized by DFT (PBE)
Peak positions follow from Bragg's law for the DFT cell and can differ from measured ones.

Principal peaks in the range 10° ≤ 2θ ≤ 90°, in order of rising 2θ:
d 7.926, 2θ 11.2, intensity 100
d 6.605, 2θ 13.4, intensity 18
d 3.026, 2θ 29.5, intensity 59
d 2.584, 2θ 34.7, intensity 98
d 2.148, 2θ 42.1, intensity 64
d 2.068, 2θ 43.8, intensity 23
d 1.748, 2θ 52.3, intensity 40
d 1.448, 2θ 64.3, intensity 16
d 1.356, 2θ 69.3, intensity 14
d 1.283, 2θ 73.9, intensity 19

Crystal structure
```
data_Te3MoWSe
_chemical_formula_sum 'Te6 Mo2 W2 Se2'
_symmetry_space_group_name_H-M 'P 3 m 1'
_symmetry_Int_Tables_number 156
_cell_length_a 3.4966
_cell_length_b 3.4966
_cell_length_c 39.6303
_cell_angle_alpha 90.00
_cell_angle_beta 90.00
_cell_angle_gamma 120.00
loop_
_symmetry_equiv_pos_as_xyz
'x,y,z'
'-y,x-y,z'
'-x+y,-x,z'
'-y,-x,z'
'-x+y,y,z'
'x,x-y,z'
loop_
_atom_site_label
_atom_site_fract_x
_atom_site_fract_y
_atom_site_fract_z
_atom_site_occupancy
Te1 0.0000 0.0000 0.0000 1
Te2 0.0000 0.0000 0.0925 1
Te3 0.0000 0.0000 0.3754 1
Te4 0.0000 0.0000 0.4685 1
Te5 0.6667 0.3333 0.5636 1
Te6 0.6667 0.3333 0.6561 1
Mo1 0.0000 0.0000 0.6099 1
Mo2 0.6667 0.3333 0.0462 1
W1 0.0000 0.0000 0.2341 1
W2 0.6667 0.3333 0.4220 1
Se1 0.6667 0.3333 0.1932 1
Se2 0.6667 0.3333 0.2751 1
```